Diffraction record for La8Y4Ho. The powder diffractogram is simulated, not measured: it uses a structure optimized by DFT (PBE) and Cu Kα (λ = 1.5418 Å).
Intensities are scaled so that the largest is 1000.

Structure:
```
data_La8Y4Ho
_chemical_formula_sum 'La8 Y4 Ho1'
_symmetry_space_group_name_H-M 'P -1'
_symmetry_Int_Tables_number 2
_cell_length_a 7.2554
_cell_length_b 7.2621
_cell_length_c 10.9032
_cell_angle_alpha 70.74
_cell_angle_beta 70.70
_cell_angle_gamma 60.10
loop_
_symmetry_equiv_pos_as_xyz
'x,y,z'
'-x,-y,-z'
loop_
_atom_site_label
_atom_site_fract_x
_atom_site_fract_y
_atom_site_fract_z
La1 0.2064 0.2503 0.2883
La2 0.2093 0.7068 0.3719
La3 0.2472 0.7492 0.7120
La4 0.2483 0.2940 0.7120
Y1 0.0000 0.0000 0.0000
Y2 0.0000 0.5000 0.0000
Y3 0.5000 0.0000 0.0000
Y4 0.5000 0.5000 0.0000
Ho1 0.5000 0.0000 0.5000
```

Top 6 peaks for 10° ≤ 2θ ≤ 90°, by intensity:
30.8°, I 1000; 26.5°, I 219; 37.2°, I 210; 50.2°, I 196; 32.0°, I 181; 32.9°, I 180